Record 1
Diffraction record for PrSn2. The powder diffraction line list is theoretical, not measured: it uses a structure optimized by DFT (GGA-PBE) and Cu Ka.
Neutral-atom scattering factors, no anomalous dispersion.

Atomic structure:
Cell: 4.557 15.980 4.701 Å, 90.00 90.00 90.00°
Fractional coordinates of all 12 atoms:
Pr1 0.000 0.146 0.000
Pr2 0.000 0.854 0.000
Pr3 0.500 0.354 0.000
Pr4 0.500 0.646 0.000
Sn1 0.000 0.000 0.500
Sn2 0.000 0.318 0.500
Sn3 0.000 0.500 0.000
Sn4 0.000 0.682 0.500
Sn5 0.500 0.000 0.000
Sn6 0.500 0.182 0.500
Sn7 0.500 0.500 0.500
Sn8 0.500 0.818 0.500

Main lines, sorted by position (2θ from 10° to 90°):
- 32.1°, I = 100.0
- 33.7°, I = 17.0
- 38.3°, I = 17.0
- 39.6°, I = 15.5
- 51.9°, I = 10.2
- 52.9°, I = 9.6
- 56.2°, I = 11.3
- 59.2°, I = 8.6
- 65.4°, I = 13.4
- 67.1°, I = 22.0

Record 2
Diffraction record for Dy4Rh. The powder diffraction line list is theoretical, not measured: it uses a structure optimized by DFT (GGA-PBE) and Cu Ka.
Neutral-atom scattering factors, no anomalous dispersion.

Atomic structure:
Cell: 7.589 7.589 7.589 Å, 60.00 60.00 60.00°
Fractional coordinates of all 10 atoms:
Dy1 0.207 0.764 0.764
Dy2 0.236 0.236 0.236
Dy3 0.236 0.236 0.793
Dy4 0.236 0.793 0.236
Dy5 0.764 0.207 0.764
Dy6 0.764 0.764 0.207
Dy7 0.764 0.764 0.764
Dy8 0.793 0.236 0.236
Rh1 0.375 0.375 0.375
Rh2 0.625 0.625 0.625

Main lines, sorted by position (2θ from 10° to 90°):
- 23.4°, I = 11.0
- 28.8°, I = 100.0
- 33.4°, I = 33.4
- 36.5°, I = 19.0
- 43.8°, I = 20.7
- 47.9°, I = 44.4
- 56.9°, I = 34.1
- 72.0°, I = 9.3
- 77.5°, I = 10.5
- 89.5°, I = 9.8

Record 3
Diffraction record for LaCuPb. The powder diffraction line list is theoretical, not measured: it uses a structure optimized by DFT (GGA-PBE) and Cu Ka.
Neutral-atom scattering factors, no anomalous dispersion.

Atomic structure:
Cell: 4.684 4.684 8.127 Å, 90.00 90.00 120.00°
Fractional coordinates of all 6 atoms:
La1 0.000 0.000 0.000
La2 0.000 0.000 0.500
Cu1 0.333 0.667 0.250
Cu2 0.667 0.333 0.750
Pb1 0.333 0.667 0.750
Pb2 0.667 0.333 0.250

Main lines, sorted by position (2θ from 10° to 90°):
- 21.9°, I = 9.7
- 24.5°, I = 32.2
- 31.2°, I = 100.0
- 38.4°, I = 64.2
- 44.6°, I = 23.6
- 50.3°, I = 26.3
- 60.3°, I = 34.3
- 65.0°, I = 24.2
- 69.5°, I = 11.2
- 86.4°, I = 18.6

Record 4
Diffraction record for Rh. The powder diffraction line list is theoretical, not measured: it uses a structure optimized by DFT (GGA-PBE) and Cu Ka.
Neutral-atom scattering factors, no anomalous dispersion.

Atomic structure:
Cell: 2.546 2.546 2.546 Å, 90.00 90.00 90.00°
Fractional coordinates of all 1 atoms:
Rh1 0.000 0.000 0.000

Main lines, sorted by position (2θ from 10° to 90°):
- 35.2°, I = 100.0
- 50.7°, I = 69.7
- 63.3°, I = 23.5
- 74.5°, I = 10.8
- 85.2°, I = 30.6

Record 5
Diffraction record for TbAlCu4. The powder diffraction line list is theoretical, not measured: it uses a structure optimized by DFT (GGA-PBE) and Cu Ka.
Neutral-atom scattering factors, no anomalous dispersion.

Atomic structure:
Cell: 5.183 5.183 4.035 Å, 90.00 90.00 120.00°
Fractional coordinates of all 6 atoms:
Tb1 0.000 0.000 0.000
Al1 0.333 0.667 0.000
Cu1 0.501 0.002 0.500
Cu2 0.501 0.499 0.500
Cu3 0.667 0.333 0.000
Cu4 0.998 0.499 0.500

Main lines, sorted by position (2θ from 10° to 90°):
- 29.8°, I = 77.8
- 34.6°, I = 26.9
- 40.2°, I = 53.3
- 41.4°, I = 100.0
- 44.9°, I = 26.7
- 59.1°, I = 22.4
- 61.8°, I = 28.5
- 66.7°, I = 23.3
- 73.0°, I = 17.6
- 90.0°, I = 20.6

Record 6
Diffraction record for SrZr7N10. The powder diffraction line list is theoretical, not measured: it uses a structure optimized by DFT (GGA-PBE) and Cu Ka.
Neutral-atom scattering factors, no anomalous dispersion.

Atomic structure:
Cell: 6.654 6.903 13.722 Å, 90.00 91.97 90.00°
Fractional coordinates of all 36 atoms:
Sr1 0.000 0.055 0.000
Sr2 0.000 0.945 0.500
Zr1 0.186 0.410 0.369
Zr2 0.186 0.590 0.869
Zr3 0.286 0.048 0.211
Zr4 0.286 0.952 0.711
Zr5 0.380 0.417 0.067
Zr6 0.380 0.583 0.567
Zr7 0.478 0.039 0.922
Zr8 0.478 0.961 0.422
Zr9 0.571 0.403 0.762
Zr10 0.571 0.597 0.262
Zr11 0.758 0.416 0.462
Zr12 0.758 0.584 0.962
Zr13 0.998 0.399 0.670
Zr14 0.998 0.601 0.170
N1 0.052 0.114 0.666
N2 0.052 0.886 0.166
N3 0.074 0.477 0.516
N4 0.074 0.523 0.016
N5 0.229 0.117 0.369
N6 0.229 0.883 0.869
N7 0.276 0.442 0.217
N8 0.276 0.558 0.717
N9 0.368 0.127 0.063
N10 0.368 0.873 0.563
N11 0.468 0.446 0.914
N12 0.468 0.554 0.414
N13 0.513 0.119 0.772
N14 0.513 0.881 0.272
N15 0.672 0.466 0.614
N16 0.672 0.534 0.114
N17 0.714 0.134 0.447
N18 0.714 0.866 0.947
N19 0.877 0.476 0.817
N20 0.877 0.524 0.317

Main lines, sorted by position (2θ from 10° to 90°):
- 12.8°, I = 37.5
- 19.8°, I = 39.0
- 25.8°, I = 63.1
- 26.6°, I = 33.0
- 30.7°, I = 33.7
- 32.2°, I = 80.8
- 32.5°, I = 100.0
- 41.3°, I = 54.4
- 43.3°, I = 33.0
- 48.7°, I = 31.6